Entry 1:
Theoretical XRD peak list of CdH6C2I2N2O2 for Cu Kα X-rays, from a crystal structure in Alexandria, relaxed with PBE.
Peak positions follow from Bragg's law for the DFT cell and can differ from measured ones.

Structure:
```
15
Lattice="4.287 0.000 0.000 0.017 8.078 0.000 0.692 3.858 7.451" Properties=species:S:1:pos:R:3 pbc="T T T"
Cd 0.000 0.000 0.000
H 0.808 8.825 3.528
H 1.595 8.882 6.423
H 1.605 7.596 4.521
H 3.391 4.340 2.930
H 3.401 3.053 1.028
H 4.187 3.111 3.923
C 1.150 9.307 5.506
C 3.846 2.629 1.945
I 2.211 6.466 1.322
I 2.785 5.470 6.129
N 1.184 8.520 4.440
N 3.812 3.416 3.011
O 0.661 10.470 5.510
O 4.335 1.466 1.941
```

Top 8 peaks for 10° ≤ 2θ ≤ 90°, low angle first:
2θ (°)	Rel. int.
11.9	70
12.6	100
21.2	59
24.7	30
28.4	43
30.7	26
33.1	26
33.3	33

---

Entry 2:
Theoretical XRD peak list of Tl2H3Cl for Cu Kα X-rays, from a crystal structure in Alexandria, relaxed with PBE.
Peak positions follow from Bragg's law for the DFT cell and can differ from measured ones.

Structure:
```
24
Lattice="0.000 7.176 7.443 5.049 0.000 7.443 5.049 7.176 0.000" Properties=species:S:1:pos:R:3 pbc="T T T"
Tl 1.262 1.794 0.106
Tl 3.787 5.382 3.322
Tl 1.262 1.794 3.616
Tl 6.312 8.970 7.043
Tl 3.787 5.382 7.843
Tl 8.836 12.558 11.271
Tl 6.312 8.970 11.565
Tl 8.836 12.558 14.781
H 1.262 0.522 1.861
H 6.315 5.004 5.603
H 6.315 5.760 5.562
H 1.262 3.065 1.861
H 8.840 8.592 9.284
H 8.840 9.348 9.324
H 1.259 5.004 5.562
H 1.259 5.760 5.603
H 8.836 11.286 13.026
H 3.783 8.592 9.324
H 3.783 9.348 9.284
H 8.836 13.829 13.026
Cl 3.787 3.233 5.582
Cl 6.312 6.821 9.304
Cl 3.787 7.531 5.582
Cl 6.312 11.119 9.304
```

Top 8 peaks for 10° ≤ 2θ ≤ 90°, low angle first:
2θ (°)	Rel. int.
21.5	100
23.9	25
24.8	33
32.4	66
34.7	30
35.6	19
41.8	22
50.6	21

---

> Which formula does entry 1 have?

CdH6C2I2N2O2